This entry pairs a crystal structure of Sc5AgTe8 with its simulated powder X-ray diffraction pattern. Radiation: Cu Kα X-rays. Structure: a structure optimized by DFT (PBE).
No peak broadening, texture or thermal motion is included.

Structural model:
abc: 8.596 8.596 8.596
angles: 60.00 60.00 60.00
Positions (direct):
Sc1 0.000 0.000 0.000
Sc2 0.381 0.381 0.381
Sc3 0.381 0.381 0.858
Sc4 0.381 0.858 0.381
Sc5 0.858 0.381 0.381
Ag1 0.750 0.750 0.750
Te1 0.133 0.133 0.133
Te2 0.133 0.133 0.600
Te3 0.133 0.600 0.133
Te4 0.146 0.618 0.618
Te5 0.600 0.133 0.133
Te6 0.618 0.146 0.618
Te7 0.618 0.618 0.146
Te8 0.618 0.618 0.618

Largest 8 diffraction maxima, low angle first, 15 to 90 degrees two-theta:
2θ (°), intensity
25.38, 100
29.39, 80
38.48, 21
42.04, 100
49.75, 45
52.12, 19
69.11, 23
76.83, 28